Calculated powder diffraction line list
Compound: Sm5Ge3
Radiation: CuKα
Structure: a cell relaxed with GGA-PBE
Lines closer than 0.1° are merged.

Peak list (10 most intense, 15 to 90 degrees two-theta, in order of falling intensity)
2theta	d [Å]	Rel. int.
34.13	2.627	100
34.00	2.637	89
35.56	2.525	41
31.24	2.863	40
29.49	3.029	32
52.40	1.746	29
55.61	1.653	26
50.02	1.824	24
55.96	1.643	21
65.18	1.431	17

Atomic structure:
Unit cell a=8.7467 b=8.7467 c=6.6094 alpha=90.00 beta=90.00 gamma=120.00
Element x y z (fractional)
Sm (0.0000, 0.2432, 0.2500)
Sm (0.0000, 0.7568, 0.7500)
Sm (0.2432, 0.0000, 0.2500)
Sm (0.2432, 0.2432, 0.7500)
Sm (0.3333, 0.6667, 0.0000)
Sm (0.3333, 0.6667, 0.5000)
Sm (0.6667, 0.3333, 0.0000)
Sm (0.6667, 0.3333, 0.5000)
Sm (0.7568, 0.0000, 0.7500)
Sm (0.7568, 0.7568, 0.2500)
Ge (0.0000, 0.3931, 0.7500)
Ge (0.0000, 0.6069, 0.2500)
Ge (0.3931, 0.0000, 0.7500)
Ge (0.3931, 0.3931, 0.2500)
Ge (0.6069, 0.0000, 0.2500)
Ge (0.6069, 0.6069, 0.7500)

Calculated powder diffraction line list
Compound: BaNiCl3
Radiation: CuKα
Structure: a cell relaxed with GGA-PBE
Lines closer than 0.1° are merged.

Peak list (10 most intense, 15 to 90 degrees two-theta, in order of falling intensity)
2theta	d [Å]	Rel. int.
34.00	2.637	100
25.66	3.471	63
21.92	4.054	44
44.70	2.027	35
52.74	1.736	28
35.96	2.497	28
52.25	1.751	20
43.08	2.100	19
59.10	1.563	18
65.49	1.425	15

Atomic structure:
Unit cell a=6.9427 b=6.9427 c=5.4905 alpha=90.00 beta=90.00 gamma=120.00
Element x y z (fractional)
Ba (0.3333, 0.6667, 0.0000)
Ba (0.6667, 0.3333, 0.5000)
Ni (0.0000, 0.0000, 0.2405)
Ni (0.0000, 0.0000, 0.7405)
Cl (0.1721, 0.3442, 0.4904)
Cl (0.1721, 0.8279, 0.4904)
Cl (0.3442, 0.1721, 0.9904)
Cl (0.6558, 0.8279, 0.4904)
Cl (0.8279, 0.1721, 0.9904)
Cl (0.8279, 0.6558, 0.9904)

Calculated powder diffraction line list
Compound: RbTe3Mo3
Radiation: CuKα
Structure: a cell relaxed with GGA-PBE
Lines closer than 0.1° are merged.

Peak list (10 most intense, 15 to 90 degrees two-theta, in order of falling intensity)
2theta	d [Å]	Rel. int.
40.97	2.203	100
26.21	3.399	84
42.33	2.135	58
38.92	2.314	51
49.87	1.829	49
33.49	2.676	48
30.92	2.892	40
27.19	3.279	39
28.19	3.165	31
37.37	2.406	28

Atomic structure:
Unit cell a=10.0183 b=10.0183 c=4.6285 alpha=90.00 beta=90.00 gamma=120.00
Element x y z (fractional)
Rb (0.3333, 0.6667, 0.2500)
Rb (0.6667, 0.3333, 0.7500)
Te (0.0496, 0.7009, 0.7500)
Te (0.2991, 0.3487, 0.7500)
Te (0.3487, 0.0496, 0.2500)
Te (0.6513, 0.9504, 0.7500)
Te (0.7009, 0.6513, 0.2500)
Te (0.9504, 0.2991, 0.2500)
Mo (0.0237, 0.8597, 0.2500)
Mo (0.1403, 0.1640, 0.2500)
Mo (0.1640, 0.0237, 0.7500)
Mo (0.8360, 0.9763, 0.2500)
Mo (0.8597, 0.8360, 0.7500)
Mo (0.9763, 0.1403, 0.7500)

Calculated powder diffraction line list
Compound: MgAgPdO2
Radiation: CuKα
Structure: a cell relaxed with GGA-PBE
Lines closer than 0.1° are merged.

Peak list (10 most intense, 15 to 90 degrees two-theta, in order of falling intensity)
2theta	d [Å]	Rel. int.
31.93	2.803	100
33.39	2.683	77
49.58	1.839	57
32.72	2.737	42
21.65	4.105	39
55.95	1.643	35
37.27	2.413	27
38.55	2.335	26
44.05	2.056	25
55.22	1.663	21

Atomic structure:
Unit cell a=2.8394 b=2.9819 c=8.2102 alpha=90.00 beta=90.00 gamma=90.00
Element x y z (fractional)
Mg (0.0000, 0.0000, 0.0000)
Ag (0.5000, 0.0000, 0.3207)
Pd (0.0000, 0.5000, 0.7110)
O (0.5000, 0.5000, 0.5436)
O (0.5000, 0.5000, 0.9456)